(1)
This entry pairs a crystal structure of Sm2ThC2 with its simulated powder XRD pattern. Radiation: Cu Kα, 1.54184 Å. Structure: DFT lattice parameters and positions (PBE).

Structural model:
```
Sm2ThC2
1.0
3.7069 0.0000 0.0000
-1.8534 3.2102 0.0000
0.0000 0.0000 29.1939
Sm Th C
6 3 6
Direct
0.0000 0.0000 0.2330
0.0000 0.0000 0.7670
0.3333 0.6667 0.4337
0.3333 0.6667 0.8997
0.6667 0.3333 0.1003
0.6667 0.3333 0.5663
0.0000 0.0000 0.0000
0.3333 0.6667 0.6667
0.6667 0.3333 0.3333
0.0000 0.0000 0.3891
0.0000 0.0000 0.6109
0.3333 0.6667 0.0558
0.3333 0.6667 0.2776
0.6667 0.3333 0.7224
0.6667 0.3333 0.9442
```

Principal peaks in the range 2θ = 10–90°, low angle first:
2θ 27.50, rel. 37.9; 2θ 27.96, rel. 30.8; 2θ 30.42, rel. 100.0; 2θ 31.81, rel. 62.2; 2θ 37.31, rel. 49.1; 2θ 49.16, rel. 34.8; 2θ 49.54, rel. 33.2; 2θ 57.25, rel. 31.1; 2θ 58.91, rel. 16.1; 2θ 61.21, rel. 15.6

(2)
This entry pairs a crystal structure of Ta4Sn3W2C3 with its simulated powder XRD pattern. Radiation: Cu Kα, 1.54184 Å. Structure: DFT lattice parameters and positions (PBE).

Structural model:
```
Ta4Sn3W2C3
1.0
4.8700 -2.8068 0.0000
4.8700 2.8068 0.0000
-3.2583 0.0000 13.6929
Ta Sn W C
8 6 4 6
Direct
0.0263 0.1964 0.0837
0.1401 0.3053 0.4161
0.1964 0.0263 0.5837
0.3053 0.1401 0.9161
0.6947 0.8599 0.0839
0.8036 0.9737 0.4163
0.8599 0.6947 0.5839
0.9737 0.8036 0.9163
0.0922 0.9078 0.2500
0.2635 0.4146 0.7496
0.4146 0.2635 0.2496
0.5854 0.7365 0.7504
0.7365 0.5854 0.2504
0.9078 0.0922 0.7500
0.3612 0.5267 0.0782
0.4733 0.6388 0.4218
0.5267 0.3612 0.5782
0.6388 0.4733 0.9218
0.0000 0.5000 0.0000
0.1648 0.6673 0.5000
0.3327 0.8352 0.0000
0.5000 0.0000 0.5000
0.6673 0.1648 0.0000
0.8352 0.3327 0.5000
```

Principal peaks in the range 2θ = 10–90°, low angle first:
2θ 12.93, rel. 7.4; 2θ 31.86, rel. 23.6; 2θ 37.60, rel. 100.0; 2θ 39.49, rel. 18.6; 2θ 51.60, rel. 14.5; 2θ 56.76, rel. 21.2; 2θ 70.06, rel. 10.9; 2θ 70.37, rel. 16.1; 2θ 71.32, rel. 13.4; 2θ 71.38, rel. 6.7

(3)
This entry pairs a crystal structure of TmZrSnC with its simulated powder XRD pattern. Radiation: Cu Kα, 1.54184 Å. Structure: DFT lattice parameters and positions (PBE).

Structural model:
```
TmZrSnC
1.0
3.4539 0.0000 0.0000
-1.7270 2.9912 0.0000
0.0000 0.0000 15.1625
Tm Zr Sn C
2 2 2 2
Direct
0.0000 0.0000 0.1705
0.0000 0.0000 0.8295
0.6667 0.3333 0.3399
0.6667 0.3333 0.6601
0.0000 0.0000 0.5000
0.6667 0.3333 0.0000
0.3333 0.6667 0.2618
0.3333 0.6667 0.7382
```

Principal peaks in the range 2θ = 10–90°, low angle first:
2θ 29.87, rel. 24.7; 2θ 34.85, rel. 100.0; 2θ 35.52, rel. 19.4; 2θ 47.08, rel. 16.9; 2θ 53.03, rel. 21.0; 2θ 63.36, rel. 17.3; 2θ 65.03, rel. 16.5; 2θ 65.46, rel. 20.1; 2θ 87.15, rel. 7.7; 2θ 88.65, rel. 15.0

Please write out number 3 again, unchanged.
This entry pairs a crystal structure of TmZrSnC with its simulated powder XRD pattern. Radiation: Cu Kα, 1.54184 Å. Structure: DFT lattice parameters and positions (PBE).

Structural model:
```
TmZrSnC
1.0
3.4539 0.0000 0.0000
-1.7270 2.9912 0.0000
0.0000 0.0000 15.1625
Tm Zr Sn C
2 2 2 2
Direct
0.0000 0.0000 0.1705
0.0000 0.0000 0.8295
0.6667 0.3333 0.3399
0.6667 0.3333 0.6601
0.0000 0.0000 0.5000
0.6667 0.3333 0.0000
0.3333 0.6667 0.2618
0.3333 0.6667 0.7382
```

Principal peaks in the range 2θ = 10–90°, low angle first:
2θ 29.87, rel. 24.7; 2θ 34.85, rel. 100.0; 2θ 35.52, rel. 19.4; 2θ 47.08, rel. 16.9; 2θ 53.03, rel. 21.0; 2θ 63.36, rel. 17.3; 2θ 65.03, rel. 16.5; 2θ 65.46, rel. 20.1; 2θ 87.15, rel. 7.7; 2θ 88.65, rel. 15.0